[1]
CeHfZr14: calculated X-ray diffraction stick pattern (Cu Kα), based on a GGA-PBE-relaxed structure.
Intensities are scaled so that the largest is 100.

Structural model:
```
CeHfZr14
1.0
9.019 0.000 0.000
0.000 4.561 4.558
0.000 -4.561 4.558
Ce Hf Zr
1 1 14
Direct
0.000 0.000 0.000 Ce
0.000 0.501 0.501 Hf
0.000 0.001 0.500 Zr
0.000 0.500 0.001 Zr
0.250 0.253 0.748 Zr
0.250 0.254 0.254 Zr
0.250 0.747 0.747 Zr
0.250 0.748 0.253 Zr
0.500 0.000 0.000 Zr
0.500 0.000 0.501 Zr
0.500 0.501 0.000 Zr
0.500 0.501 0.501 Zr
0.750 0.253 0.748 Zr
0.750 0.254 0.254 Zr
0.750 0.747 0.747 Zr
0.750 0.748 0.253 Zr
```

The 6 most intense peaks (2θ = 10–90°), low angle first:
d [Å], Rel. int.
2.623, 100.0
2.280, 33.3
2.255, 16.1
1.603, 21.7
1.373, 25.4
1.362, 12.4

[2]
LiGa2Cl6: calculated X-ray diffraction stick pattern (Cu Kα), based on a GGA-PBE-relaxed structure.
Intensities are scaled so that the largest is 100.

Structural model:
```
LiGa2Cl6
1.0
7.004 -6.720 0.000
7.004 6.720 0.000
-4.035 0.000 6.628
Li Ga Cl
2 4 12
Direct
0.189 0.811 0.750 Li
0.811 0.189 0.250 Li
0.206 0.380 0.711 Ga
0.380 0.206 0.211 Ga
0.620 0.794 0.789 Ga
0.794 0.620 0.289 Ga
0.018 0.196 0.553 Cl
0.120 0.604 0.812 Cl
0.196 0.018 0.053 Cl
0.341 0.365 0.503 Cl
0.365 0.341 0.003 Cl
0.396 0.880 0.688 Cl
0.604 0.120 0.312 Cl
0.635 0.659 0.997 Cl
0.659 0.635 0.497 Cl
0.804 0.982 0.947 Cl
0.880 0.396 0.188 Cl
0.982 0.804 0.447 Cl
```

The 6 most intense peaks (2θ = 10–90°), low angle first:
d [Å], Rel. int.
6.718, 100.0
5.983, 59.0
4.719, 85.3
4.631, 75.8
3.878, 48.6
3.824, 42.4

[3]
Tm2Zn2Co15: calculated X-ray diffraction stick pattern (Cu Kα), based on a GGA-PBE-relaxed structure.
Intensities are scaled so that the largest is 100.

Structural model:
```
Tm2Zn2Co15
1.0
4.170 2.408 4.024
-4.170 2.408 4.024
0.000 -4.815 4.024
Tm Zn Co
2 2 15
Direct
0.152 0.152 0.152 Tm
0.848 0.848 0.848 Tm
0.397 0.397 0.397 Zn
0.603 0.603 0.603 Zn
0.000 0.500 0.500 Co
0.148 0.148 0.654 Co
0.148 0.654 0.148 Co
0.209 0.500 0.791 Co
0.209 0.791 0.500 Co
0.346 0.852 0.852 Co
0.500 0.000 0.500 Co
0.500 0.209 0.791 Co
0.500 0.500 0.000 Co
0.500 0.791 0.209 Co
0.654 0.148 0.148 Co
0.791 0.209 0.500 Co
0.791 0.500 0.209 Co
0.852 0.346 0.852 Co
0.852 0.852 0.346 Co
```

The 6 most intense peaks (2θ = 10–90°), low angle first:
d [Å], Rel. int.
2.896, 36.4
2.408, 49.6
2.316, 45.1
2.085, 72.5
2.066, 100.0
2.012, 29.4

[4]
Ho3Sc2Al2: calculated X-ray diffraction stick pattern (Cu Kα), based on a GGA-PBE-relaxed structure.
Intensities are scaled so that the largest is 100.

Structural model:
```
Ho3Sc2Al2
1.0
4.672 0.000 0.000
0.000 22.326 0.000
0.000 0.000 3.295
Ho Sc Al
6 4 4
Direct
0.000 0.000 0.000 Ho
0.000 0.144 0.000 Ho
0.000 0.856 0.000 Ho
0.500 0.356 0.000 Ho
0.500 0.500 0.000 Ho
0.500 0.644 0.000 Ho
0.000 0.284 0.500 Sc
0.000 0.716 0.500 Sc
0.500 0.216 0.500 Sc
0.500 0.784 0.500 Sc
0.000 0.428 0.500 Al
0.000 0.572 0.500 Al
0.500 0.072 0.500 Al
0.500 0.928 0.500 Al
```

The 6 most intense peaks (2θ = 10–90°), low angle first:
d [Å], Rel. int.
4.573, 86.3
2.673, 97.2
2.634, 100.0
2.467, 43.1
2.336, 35.6
2.058, 29.9

[5]
ZnAu: calculated X-ray diffraction stick pattern (Cu Kα), based on a GGA-PBE-relaxed structure.
Intensities are scaled so that the largest is 100.

Structural model:
```
ZnAu
1.0
7.866 0.000 0.000
0.000 7.866 0.000
0.000 0.000 4.597
Zn Au
8 8
Direct
0.069 0.288 0.000 Zn
0.212 0.431 0.500 Zn
0.288 0.931 0.000 Zn
0.431 0.788 0.500 Zn
0.569 0.212 0.500 Zn
0.712 0.069 0.000 Zn
0.788 0.569 0.500 Zn
0.931 0.712 0.000 Zn
0.092 0.760 0.500 Au
0.240 0.092 0.500 Au
0.260 0.592 0.000 Au
0.408 0.260 0.000 Au
0.592 0.740 0.000 Au
0.740 0.408 0.000 Au
0.760 0.908 0.500 Au
0.908 0.240 0.500 Au
```

The 6 most intense peaks (2θ = 10–90°), low angle first:
d [Å], Rel. int.
3.969, 25.8
3.933, 13.7
2.781, 18.5
2.298, 27.4
2.188, 100.0
1.305, 19.0

[6]
TbMn2Fe9: calculated X-ray diffraction stick pattern (Cu Kα), based on a GGA-PBE-relaxed structure.
Intensities are scaled so that the largest is 100.

Structural model:
```
TbMn2Fe9
1.0
8.059 0.000 0.000
0.000 8.059 0.000
0.000 0.000 4.788
Tb Mn Fe
2 4 18
Direct
0.000 0.000 0.000 Tb
0.500 0.500 0.000 Tb
0.118 0.382 0.000 Mn
0.382 0.882 0.000 Mn
0.618 0.118 0.000 Mn
0.882 0.618 0.000 Mn
0.000 0.500 0.500 Fe
0.069 0.213 0.500 Fe
0.176 0.676 0.235 Fe
0.176 0.676 0.765 Fe
0.213 0.931 0.500 Fe
0.287 0.431 0.500 Fe
0.324 0.176 0.235 Fe
0.324 0.176 0.765 Fe
0.431 0.713 0.500 Fe
0.500 0.000 0.500 Fe
0.569 0.287 0.500 Fe
0.676 0.824 0.235 Fe
0.676 0.824 0.765 Fe
0.713 0.569 0.500 Fe
0.787 0.069 0.500 Fe
0.824 0.324 0.235 Fe
0.824 0.324 0.765 Fe
0.931 0.787 0.500 Fe
```

The 6 most intense peaks (2θ = 10–90°), low angle first:
d [Å], Rel. int.
2.449, 33.8
2.250, 100.0
2.058, 37.7
2.025, 27.7
1.994, 55.4
1.955, 37.6

[7]
Ac8Ir3Pd2: calculated X-ray diffraction stick pattern (Cu Kα), based on a GGA-PBE-relaxed structure.
Intensities are scaled so that the largest is 100.

Structural model:
```
Ac8Ir3Pd2
1.0
8.845 0.000 0.000
-4.422 7.660 0.000
0.000 0.000 14.096
Ac Ir Pd
16 6 4
Direct
0.000 0.000 0.000 Ac
0.000 0.000 0.500 Ac
0.021 0.511 0.009 Ac
0.165 0.330 0.280 Ac
0.165 0.835 0.280 Ac
0.330 0.165 0.780 Ac
0.333 0.667 0.778 Ac
0.489 0.511 0.009 Ac
0.489 0.979 0.009 Ac
0.511 0.021 0.509 Ac
0.511 0.489 0.509 Ac
0.667 0.333 0.278 Ac
0.670 0.835 0.280 Ac
0.835 0.165 0.780 Ac
0.835 0.670 0.780 Ac
0.979 0.489 0.509 Ac
0.167 0.335 0.891 Ir
0.167 0.833 0.891 Ir
0.335 0.167 0.391 Ir
0.665 0.833 0.891 Ir
0.833 0.167 0.391 Ir
0.833 0.665 0.391 Ir
0.333 0.667 0.154 Pd
0.333 0.667 0.402 Pd
0.667 0.333 0.654 Pd
0.667 0.333 0.902 Pd
```

The 6 most intense peaks (2θ = 10–90°), low angle first:
d [Å], Rel. int.
7.048, 35.3
3.365, 100.0
2.969, 61.3
2.593, 22.0
2.270, 37.4
2.211, 58.2

[8]
Pm2PrCd2: calculated X-ray diffraction stick pattern (Cu Kα), based on a GGA-PBE-relaxed structure.
Intensities are scaled so that the largest is 100.

Structural model:
```
Pm2PrCd2
1.0
3.839 0.000 0.000
0.000 5.532 0.000
-1.911 0.000 14.073
Pm Pr Cd
4 2 4
Direct
0.046 0.250 0.092 Pm
0.237 0.250 0.473 Pm
0.763 0.750 0.527 Pm
0.954 0.750 0.908 Pm
0.146 0.750 0.295 Pr
0.854 0.250 0.705 Pr
0.358 0.750 0.717 Cd
0.451 0.250 0.901 Cd
0.549 0.750 0.099 Cd
0.642 0.250 0.283 Cd
```

The 6 most intense peaks (2θ = 10–90°), low angle first:
d [Å], Rel. int.
2.815, 22.3
2.766, 26.9
2.752, 100.0
1.973, 15.8
1.613, 12.7
1.594, 18.9

[9]
Sn2Ge: calculated X-ray diffraction stick pattern (Cu Kα), based on a GGA-PBE-relaxed structure.
Intensities are scaled so that the largest is 100.

Structural model:
```
Sn2Ge
1.0
5.553 0.000 0.000
0.000 5.543 0.000
-2.573 0.000 4.850
Sn Ge
4 2
Direct
0.164 0.000 0.323 Sn
0.336 0.500 0.677 Sn
0.664 0.500 0.323 Sn
0.836 0.000 0.677 Sn
0.000 0.500 0.000 Ge
0.500 0.000 0.000 Ge
```

The 6 most intense peaks (2θ = 10–90°), low angle first:
d [Å], Rel. int.
2.773, 100.0
2.532, 77.7
2.459, 71.9
1.961, 37.2
1.568, 18.4
1.550, 17.6

[10]
CeNpRu: calculated X-ray diffraction stick pattern (Cu Kα), based on a GGA-PBE-relaxed structure.
Intensities are scaled so that the largest is 100.

Structural model:
```
CeNpRu
1.0
3.461 0.000 0.000
0.000 3.461 0.000
0.000 0.000 10.135
Ce Np Ru
2 2 2
Direct
0.000 0.000 0.000 Ce
0.500 0.500 0.500 Ce
0.000 0.000 0.327 Np
0.500 0.500 0.827 Np
0.000 0.000 0.679 Ru
0.500 0.500 0.179 Ru
```

The 6 most intense peaks (2θ = 10–90°), low angle first:
d [Å], Rel. int.
3.275, 12.4
2.447, 52.8
2.418, 100.0
1.730, 18.7
1.407, 37.0
1.390, 16.8

[11]
NaTl3Pd4: calculated X-ray diffraction stick pattern (Cu Kα), based on a GGA-PBE-relaxed structure.
Intensities are scaled so that the largest is 100.

Structural model:
```
NaTl3Pd4
1.0
5.848 0.000 0.000
0.000 11.784 0.000
0.000 0.000 5.010
Na Tl Pd
2 6 8
Direct
0.000 0.000 0.000 Na
0.500 0.500 0.500 Na
0.000 0.200 0.498 Tl
0.000 0.500 0.500 Tl
0.000 0.800 0.498 Tl
0.500 0.000 0.000 Tl
0.500 0.300 0.998 Tl
0.500 0.700 0.998 Tl
0.000 0.298 0.998 Pd
0.000 0.702 0.998 Pd
0.241 0.500 0.000 Pd
0.259 0.000 0.500 Pd
0.500 0.202 0.498 Pd
0.500 0.798 0.498 Pd
0.741 0.000 0.500 Pd
0.759 0.500 0.000 Pd
```

The 6 most intense peaks (2θ = 10–90°), low angle first:
d [Å], Rel. int.
3.805, 31.5
3.091, 40.6
2.946, 29.8
2.924, 27.4
2.505, 51.7
2.124, 100.0

[12]
BeIn2Pd8: calculated X-ray diffraction stick pattern (Cu Kα), based on a GGA-PBE-relaxed structure.
Intensities are scaled so that the largest is 100.

Structural model:
```
BeIn2Pd8
1.0
-2.292 2.910 6.554
2.292 -2.910 6.554
2.292 2.910 -6.554
Be In Pd
1 2 8
Direct
0.000 0.000 0.000 Be
0.312 0.312 0.000 In
0.688 0.688 0.000 In
0.130 0.873 0.257 Pd
0.180 0.680 0.500 Pd
0.250 0.500 0.750 Pd
0.384 0.127 0.257 Pd
0.616 0.873 0.743 Pd
0.750 0.500 0.250 Pd
0.820 0.320 0.500 Pd
0.870 0.127 0.743 Pd
```

The 6 most intense peaks (2θ = 10–90°), low angle first:
d [Å], Rel. int.
2.660, 26.1
2.292, 40.6
2.276, 52.0
2.142, 100.0
1.293, 18.8
1.212, 22.1